Record 1
# ErHfTe4
Calculated X-ray powder pattern, λ = 1.5418 Å (Cu Kα). Input: DFT lattice parameters and positions (GGA-PBE).

Top 12 peaks for 2θ = 5–70°, low angle first:
- hkl 1 0 0, 2θ 12.94, I 32
- hkl 1 0 2, 2θ 28.30, I 100
- hkl 2 0 -2, 2θ 35.99, I 12
- hkl 2 1 -1, 2θ 36.40, I 16
- hkl 2 0 2, 2θ 36.58, I 8
- hkl 2 1 1, 2θ 36.69, I 23
- hkl 0 1 3, 2θ 43.91, I 22
- hkl 0 2 0, 2θ 44.58, I 11
- hkl 3 0 -2, 2θ 46.87, I 7
- hkl 3 1 1, 2θ 47.62, I 14
- hkl 4 0 0, 2θ 53.61, I 17
- hkl 2 2 -2, 2θ 58.57, I 6

Atomic structure:
```
data_ErHfTe4
_chemical_formula_sum 'Er1 Hf1 Te4'
_symmetry_space_group_name_H-M 'P 1 2/m 1'
_symmetry_Int_Tables_number 10
_cell_length_a 6.841
_cell_length_b 4.065
_cell_length_c 7.178
_cell_angle_alpha 90.00
_cell_angle_beta 90.90
_cell_angle_gamma 90.00
loop_
_symmetry_equiv_pos_as_xyz
'x,y,z'
'-x,-y,-z'
'-x,y,-z'
'x,-y,z'
loop_
_atom_site_label
_atom_site_fract_x
_atom_site_fract_y
_atom_site_fract_z
Er1 0.000 0.000 0.000
Hf1 0.000 0.500 0.500
Te1 0.257 0.000 0.349
Te2 0.264 0.500 0.819
```

***

Record 2
# NaRh2O6
Calculated X-ray powder pattern, λ = 1.5418 Å (Cu Kα). Input: DFT lattice parameters and positions (GGA-PBE).

Top 12 peaks for 2θ = 5–70°, low angle first:
- hkl 1 0 0, 2θ 16.69, I 84
- hkl 1 1 0, 2θ 29.12, I 100
- hkl 2 0 0, 2θ 33.76, I 12
- hkl 0 1 1, 2θ 35.00, I 57
- hkl 2 -1 1, 2θ 42.70, I 5
- hkl 1 2 0, 2θ 45.17, I 8
- hkl 2 0 1, 2θ 46.15, I 61
- hkl 3 0 0, 2θ 51.63, I 24
- hkl 1 2 1, 2θ 55.51, I 59
- hkl 2 2 0, 2θ 60.38, I 13
- hkl 0 0 2, 2θ 63.55, I 5
- hkl 0 1 2, 2θ 66.22, I 8

Atomic structure:
```
data_NaRh2O6
_chemical_formula_sum 'Na1 Rh2 O6'
_symmetry_space_group_name_H-M 'P -3'
_symmetry_Int_Tables_number 147
_cell_length_a 6.1323
_cell_length_b 6.1323
_cell_length_c 2.9278
_cell_angle_alpha 90.00
_cell_angle_beta 90.00
_cell_angle_gamma 120.00
loop_
_symmetry_equiv_pos_as_xyz
'x,y,z'
'-x,-y,-z'
'-y,x-y,z'
'y,-x+y,-z'
'-x+y,-x,z'
'x-y,x,-z'
loop_
_atom_site_label
_atom_site_fract_x
_atom_site_fract_y
_atom_site_fract_z
Na1 0.0000 0.0000 0.0000
Rh1 0.3333 0.6667 0.2441
O1 0.1244 0.7029 0.7467
```

***

Record 3
# Nd10YEr4
Calculated X-ray powder pattern, λ = 1.5418 Å (Cu Kα). Input: DFT lattice parameters and positions (GGA-PBE).

Top 12 peaks for 2θ = 5–70°, low angle first:
- hkl 1 0 3, 2θ 26.15, I 30
- hkl 3 0 1, 2θ 27.93, I 18
- hkl 1 3 0, 2θ 28.15, I 85
- hkl 2 2 2, 2θ 30.10, I 20
- hkl 1 2 3, 2θ 31.75, I 100
- hkl 1 3 2, 2θ 32.70, I 31
- hkl 4 2 0, 2θ 40.23, I 27
- hkl 3 2 3, 2θ 40.91, I 25
- hkl 4 1 3, 2θ 44.89, I 14
- hkl 3 4 1, 2θ 46.03, I 12
- hkl 3 1 6, 2θ 58.69, I 22
- hkl 4 5 3, 2θ 64.87, I 14

Atomic structure:
```
data_Nd10YEr4
_chemical_formula_sum 'Nd20 Y2 Er8'
_symmetry_space_group_name_H-M 'I 4/m'
_symmetry_Int_Tables_number 87
_symmetry_space_group_name_Hall '-I 4'
_cell_length_a 10.024
_cell_length_b 10.024
_cell_length_c 10.872
_cell_angle_alpha 90.00
_cell_angle_beta 90.00
_cell_angle_gamma 90.00
loop_
_atom_site_label
_atom_site_fract_x
_atom_site_fract_y
_atom_site_fract_z
Nd1 0.000 0.500 0.250
Nd2 0.120 0.773 0.167
Y1 0.000 0.000 0.000
Er1 0.056 0.721 0.500
```

***

Record 4
# Pu2Mn2Si
Calculated X-ray powder pattern, λ = 1.5418 Å (Cu Kα). Input: DFT lattice parameters and positions (GGA-PBE).

Top 12 peaks for 2θ = 5–70°, low angle first:
- hkl 0 0 2, 2θ 17.69, I 92
- hkl 1 0 1, 2θ 18.51, I 33
- hkl 1 0 3, 2θ 31.39, I 19
- hkl 0 0 4, 2θ 35.82, I 43
- hkl 2 1 0, 2θ 36.83, I 19
- hkl 2 1 1, 2θ 37.95, I 42
- hkl 2 1 2, 2θ 41.14, I 100
- hkl 2 1 3, 2θ 46.05, I 16
- hkl 2 1 4, 2θ 52.32, I 15
- hkl 3 1 1, 2θ 53.91, I 32
- hkl 3 1 3, 2θ 60.37, I 24
- hkl 2 1 6, 2θ 67.99, I 26

Atomic structure:
```
data_Pu2Mn2Si
_chemical_formula_sum 'Pu8 Mn8 Si4'
_symmetry_space_group_name_H-M 'P 4/m n c'
_symmetry_Int_Tables_number 128
_symmetry_space_group_name_Hall '-P 4 2n'
_cell_length_a 5.457
_cell_length_b 5.457
_cell_length_c 10.026
_cell_angle_alpha 90.00
_cell_angle_beta 90.00
_cell_angle_gamma 90.00
loop_
_atom_site_label
_atom_site_fract_x
_atom_site_fract_y
_atom_site_fract_z
Pu1 0.091 0.298 0.000
Mn1 0.157 0.657 0.250
Si1 0.000 0.000 0.359
```

***

Record 5
# Al2TlSb
Calculated X-ray powder pattern, λ = 1.5418 Å (Cu Kα). Input: DFT lattice parameters and positions (GGA-PBE).

Top 12 peaks for 2θ = 5–70°, low angle first:
- hkl 0 0 3, 2θ 8.42, I 28
- hkl 0 0 6, 2θ 16.89, I 89
- hkl 0 1 2, 2θ 32.30, I 57
- hkl 1 0 4, 2θ 33.81, I 100
- hkl 0 0 12, 2θ 34.17, I 32
- hkl 0 1 8, 2θ 39.34, I 66
- hkl 1 0 10, 2θ 43.10, I 27
- hkl 0 1 14, 2θ 52.04, I 15
- hkl 1 1 0, 2θ 56.62, I 23
- hkl 1 0 16, 2θ 57.10, I 22
- hkl 1 1 6, 2θ 59.53, I 20
- hkl 1 1 12, 2θ 67.82, I 26

Atomic structure:
```
data_Al2TlSb
_chemical_formula_sum 'Al6 Tl3 Sb3'
_symmetry_space_group_name_H-M 'R -3 m'
_symmetry_Int_Tables_number 166
_symmetry_space_group_name_Hall '-R 3 2"'
_cell_length_a 3.2512
_cell_length_b 3.2512
_cell_length_c 31.4905
_cell_angle_alpha 90.00
_cell_angle_beta 90.00
_cell_angle_gamma 120.00
loop_
_atom_site_label
_atom_site_fract_x
_atom_site_fract_y
_atom_site_fract_z
Al1 0.0000 0.0000 0.2464
Tl1 0.0000 0.0000 0.0000
Sb1 0.0000 0.0000 0.5000
```